No. 1
This entry pairs a crystal structure of Ti3MnCr2P6O24 with its computed PXRD pattern. Radiation: CuKα. Structure: a cell relaxed with GGA+U.

Top 10 peaks for 2θ = 10–90°, in order of rising 2θ:
2θ/deg  Rel. int.
20.4  62.9
24.2  100.0
25.1  15.6
31.7  14.6
33.2  59.5
35.7  31.3
47.5  25.1
49.5  22.8
55.8  18.6
62.5  16.0

Crystal structure
Cell lengths 8.5206, 8.5206, 8.5206 Å; angles 61.50, 61.50, 61.50 degrees
Fractional coordinates of all 36 atoms:
Ti (0.0000, 0.0000, 0.0000)
Ti (0.2126, 0.2126, 0.2126)
Ti (0.5009, 0.5009, 0.5009)
Mn (0.7105, 0.7105, 0.7105)
Cr (0.3545, 0.3545, 0.3545)
Cr (0.8539, 0.8539, 0.8539)
P (0.1122, 0.8115, 0.3962)
P (0.3077, 0.6102, 0.9047)
P (0.3962, 0.1122, 0.8115)
P (0.6102, 0.9047, 0.3077)
P (0.8115, 0.3962, 0.1122)
P (0.9047, 0.3077, 0.6102)
O (0.0451, 0.8543, 0.2355)
O (0.1010, 0.2841, 0.4478)
O (0.1090, 0.7654, 0.9148)
O (0.1959, 0.9654, 0.3345)
O (0.2355, 0.0451, 0.8543)
O (0.2702, 0.6134, 0.4094)
O (0.2841, 0.4478, 0.1010)
O (0.3345, 0.1959, 0.9654)
O (0.3610, 0.5436, 0.7382)
O (0.4094, 0.2702, 0.6134)
O (0.4478, 0.1010, 0.2841)
O (0.4534, 0.6772, 0.8801)
O (0.5436, 0.7382, 0.3610)
O (0.5883, 0.9595, 0.8092)
O (0.6134, 0.4094, 0.2702)
O (0.6772, 0.8801, 0.4534)
O (0.7382, 0.3610, 0.5436)
O (0.7654, 0.9148, 0.1090)
O (0.8092, 0.5883, 0.9595)
O (0.8543, 0.2355, 0.0451)
O (0.8801, 0.4534, 0.6772)
O (0.9148, 0.1090, 0.7654)
O (0.9595, 0.8092, 0.5883)
O (0.9654, 0.3345, 0.1959)



No. 2
This entry pairs a crystal structure of CsTl2NiF6 with its computed PXRD pattern. Radiation: CuKα. Structure: a cell relaxed with GGA+U.

Top 10 peaks for 2θ = 10–90°, in order of rising 2θ:
2θ/deg  Rel. int.
19.5  12.7
25.4  30.1
28.0  100.0
29.8  20.7
39.5  23.5
46.4  30.2
48.5  10.8
51.8  21.9
57.9  11.7
64.8  8.5

Crystal structure
Cell lengths 6.0006, 7.0137, 10.7273 Å; angles 90.00, 123.97, 90.00 degrees
Fractional coordinates of all 20 atoms:
Cs (0.0000, 0.0000, 0.0000)
Cs (0.0000, 0.5000, 0.5000)
Tl (0.2265, 0.0006, 0.7267)
Tl (0.2265, 0.4994, 0.2267)
Tl (0.7735, 0.5006, 0.7733)
Tl (0.7735, 0.9994, 0.2733)
Ni (0.5000, 0.0000, 0.5000)
Ni (0.5000, 0.5000, 0.0000)
F (0.2001, 0.6743, 0.8368)
F (0.2001, 0.8257, 0.3368)
F (0.2017, 0.1344, 0.4996)
F (0.2017, 0.3656, 0.9996)
F (0.4730, 0.1729, 0.3359)
F (0.4730, 0.3271, 0.8359)
F (0.5270, 0.6729, 0.1641)
F (0.5270, 0.8271, 0.6641)
F (0.7983, 0.6344, 0.0004)
F (0.7983, 0.8656, 0.5004)
F (0.7999, 0.1743, 0.6632)
F (0.7999, 0.3257, 0.1632)